Starting from a structure optimized by DFT (GGA-PBE), the powder XRD pattern of Pr4CI2Cl was computed for Cu Kα (weighted mean of Kα1 and Kα2).
Lines closer than 0.1° are merged.

The 6 most intense peaks (2θ from 10° to 80°), by angle:
29.1 deg, d = 3.066 Å, rel. 429
29.5 deg, d = 3.028 Å, rel. 1000
32.1 deg, d = 2.790 Å, rel. 464
34.6 deg, d = 2.592 Å, rel. 307
43.4 deg, d = 2.087 Å, rel. 291
57.3 deg, d = 1.607 Å, rel. 246

Structural model:
```
Pr4CI2Cl
1.0
7.337 0.000 0.000
0.000 4.005 0.000
-2.231 0.000 7.775
Pr C I Cl
4 1 2 1
Cartesian
1.029 0.000 1.393
-0.172 2.003 6.344
5.278 2.003 1.431
4.077 0.000 6.382
0.000 2.003 0.000
-1.115 0.000 3.887
2.553 2.003 3.887
3.668 0.000 0.000
```



Starting from a structure optimized by DFT (GGA-PBE), the powder XRD pattern of SrIrCCl2 was computed for Cu Kα (weighted mean of Kα1 and Kα2).
Lines closer than 0.1° are merged.

The 6 most intense peaks (2θ from 10° to 80°), by angle:
17.3 deg, d = 5.137 Å, rel. 301
24.5 deg, d = 3.633 Å, rel. 480
28.7 deg, d = 3.105 Å, rel. 1000
34.9 deg, d = 2.569 Å, rel. 549
45.8 deg, d = 1.979 Å, rel. 572
59.5 deg, d = 1.553 Å, rel. 224

Structural model:
```
SrIrCCl2
1.0
5.137 0.000 0.000
0.000 5.137 0.000
0.000 0.000 3.898
Sr Ir C Cl
1 1 1 2
Cartesian
0.000 0.000 0.000
2.569 2.569 1.949
2.569 2.569 0.000
0.000 2.569 1.949
2.569 0.000 1.949
```



Starting from a structure optimized by DFT (GGA-PBE), the powder XRD pattern of La3CCl3 was computed for Cu Kα (weighted mean of Kα1 and Kα2).
Lines closer than 0.1° are merged.

The 6 most intense peaks (2θ from 10° to 80°), by angle:
11.0 deg, d = 8.065 Å, rel. 569
27.1 deg, d = 3.292 Å, rel. 554
29.3 deg, d = 3.048 Å, rel. 452
31.4 deg, d = 2.851 Å, rel. 1000
37.0 deg, d = 2.432 Å, rel. 250
45.0 deg, d = 2.016 Å, rel. 649

Structural model:
```
La3CCl3
1.0
-5.702 5.702 5.702
5.702 -5.702 5.702
5.702 5.702 -5.702
La C Cl
12 4 12
Cartesian
1.609 1.426 -1.242
6.945 1.609 -1.426
1.426 -1.242 1.609
4.460 4.093 -1.426
4.093 1.426 1.242
-1.242 1.609 1.426
4.093 -1.426 4.460
1.426 1.242 4.093
1.242 4.093 1.426
1.609 -1.426 6.945
-1.426 6.945 1.609
-1.426 4.460 4.093
4.277 1.426 -1.426
1.426 1.426 1.426
1.426 -1.426 4.277
-1.426 4.277 1.426
7.128 1.357 1.494
7.128 -1.357 4.208
4.208 7.128 -1.357
4.346 1.494 4.277
4.277 4.346 1.494
1.494 7.128 1.357
7.059 4.208 4.277
1.494 4.277 4.346
1.357 1.494 7.128
4.277 7.059 4.208
-1.357 4.208 7.128
4.208 4.277 7.059
```



Q: Number 2 is which compound?
A: SrIrCCl2